No. 1
Structure and theoretical X-ray powder pattern of Nd4MnSn8 (DFT lattice parameters and positions (GGA-PBE); Cu Kα (λ = 1.5418 Å)).
Lines closer than 0.1° are merged.

Atomic structure:
abc: 4.4938 4.5701 17.3176
angles: 90.00 90.00 90.00
Space group Pmm2 (No. 25)
Unique sites:
Nd1 0.0000 0.0000 0.0000 (multiplicity 1)
Nd2 0.0000 0.5000 0.4903 (multiplicity 1)
Nd3 0.5000 0.0000 0.7931 (multiplicity 1)
Nd4 0.5000 0.5000 0.2946 (multiplicity 1)
Mn1 0.0000 0.5000 0.7086 (multiplicity 1)
Sn1 0.0000 0.0000 0.3324 (multiplicity 1)
Sn2 0.0000 0.0000 0.6299 (multiplicity 1)
Sn3 0.0000 0.5000 0.1439 (multiplicity 1)
Sn4 0.0000 0.5000 0.8576 (multiplicity 1)
Sn5 0.5000 0.0000 0.1492 (multiplicity 1)
Sn6 0.5000 0.0000 0.4517 (multiplicity 1)
Sn7 0.5000 0.5000 0.6276 (multiplicity 1)
Sn8 0.5000 0.5000 0.9719 (multiplicity 1)

Top 10 peaks for 2θ = 5–70°, in order of rising 2θ:
30.98 deg, I = 16, hkl 0 0 6
31.94 deg, I = 100, hkl 1 1 3
37.02 deg, I = 9, hkl 1 0 6
39.43 deg, I = 18, hkl 0 2 0
40.13 deg, I = 17, hkl 2 0 0
50.97 deg, I = 9, hkl 0 2 6
51.54 deg, I = 12, hkl 2 0 6
57.53 deg, I = 12, hkl 2 2 0
66.82 deg, I = 20, hkl 1 3 3
67.81 deg, I = 12, hkl 3 1 3


No. 2
Structure and theoretical X-ray powder pattern of Zr2Si (DFT lattice parameters and positions (GGA-PBE); Cu Kα (λ = 1.5418 Å)).
Lines closer than 0.1° are merged.

Atomic structure:
abc: 6.6272 6.6272 5.3314
angles: 90.00 90.00 90.00
Space group I4/mcm (No. 140)
Unique sites:
Zr1 0.1581 0.3419 0.0000 (multiplicity 8)
Si1 0.0000 0.0000 0.2500 (multiplicity 4)

Top 10 peaks for 2θ = 5–70°, in order of rising 2θ:
33.62 deg, I = 17, hkl 0 0 2
34.63 deg, I = 100, hkl 2 1 1
38.87 deg, I = 12, hkl 1 1 2
43.17 deg, I = 22, hkl 3 1 0
43.57 deg, I = 14, hkl 2 0 2
55.80 deg, I = 6, hkl 3 1 2
60.13 deg, I = 13, hkl 4 1 1
60.77 deg, I = 19, hkl 2 1 3
66.44 deg, I = 8, hkl 4 0 2
69.78 deg, I = 13, hkl 3 3 2


No. 3
Structure and theoretical X-ray powder pattern of ZrAl8Fe4 (DFT lattice parameters and positions (GGA-PBE); Cu Kα (λ = 1.5418 Å)).
Lines closer than 0.1° are merged.

Atomic structure:
abc: 8.5567 8.5567 4.9867
angles: 90.00 90.00 90.00
Space group I4/mmm (No. 139)
Unique sites:
Zr1 0.0000 0.0000 0.0000 (multiplicity 2)
Al1 0.0000 0.2181 0.5000 (multiplicity 8)
Al2 0.0000 0.3367 0.0000 (multiplicity 8)
Fe1 0.2500 0.2500 0.2500 (multiplicity 8)

Top 10 peaks for 2θ = 5–70°, in order of rising 2θ:
14.64 deg, I = 13, hkl 1 1 0
20.76 deg, I = 23, hkl 2 0 0
29.42 deg, I = 19, hkl 2 1 1
29.53 deg, I = 24, hkl 2 2 0
36.28 deg, I = 27, hkl 3 0 1
41.94 deg, I = 74, hkl 2 0 2
42.21 deg, I = 100, hkl 4 0 0
47.24 deg, I = 33, hkl 2 2 2
47.52 deg, I = 17, hkl 4 2 0
61.05 deg, I = 23, hkl 4 2 2


No. 4
Structure and theoretical X-ray powder pattern of CaTa2O6 (DFT lattice parameters and positions (GGA-PBE); Cu Kα (λ = 1.5418 Å)).
Lines closer than 0.1° are merged.

Atomic structure:
abc: 7.9337 7.9337 7.9337
angles: 90.00 90.00 90.00
Space group Fm-3m (No. 225)
Unique sites:
Ca1 0.0000 0.0000 0.0000 (multiplicity 4)
Ta1 0.2500 0.2500 0.2500 (multiplicity 8)
O1 0.0000 0.2500 0.2500 (multiplicity 24)

Top 10 peaks for 2θ = 5–70°, in order of rising 2θ:
19.38 deg, I = 3, hkl 1 1 1
22.41 deg, I = 100, hkl 2 0 0
31.90 deg, I = 90, hkl 2 2 0
37.60 deg, I = 2, hkl 3 1 1
39.34 deg, I = 12, hkl 2 2 2
45.75 deg, I = 30, hkl 4 0 0
50.12 deg, I = 1, hkl 3 3 1
51.51 deg, I = 43, hkl 4 2 0
56.85 deg, I = 36, hkl 4 2 2
66.69 deg, I = 18, hkl 4 4 0


No. 5
Structure and theoretical X-ray powder pattern of NaPrDySbO6 (DFT lattice parameters and positions (GGA-PBE); Cu Kα (λ = 1.5418 Å)).
Lines closer than 0.1° are merged.

Atomic structure:
abc: 8.3119 8.3119 8.3119
angles: 90.00 90.00 90.00
Space group F-43m (No. 216)
Unique sites:
Na1 0.0000 0.0000 0.0000 (multiplicity 4)
Pr1 0.0000 0.0000 0.5000 (multiplicity 4)
Dy1 0.2500 0.2500 0.2500 (multiplicity 4)
Sb1 0.2500 0.2500 0.7500 (multiplicity 4)
O1 0.0123 0.2500 0.7500 (multiplicity 24)

Top 10 peaks for 2θ = 5–70°, in order of rising 2θ:
18.49 deg, I = 19, hkl 1 1 1
21.38 deg, I = 16, hkl 2 0 0
30.42 deg, I = 100, hkl 2 2 0
35.83 deg, I = 12, hkl 3 1 1
43.55 deg, I = 32, hkl 4 0 0
47.69 deg, I = 6, hkl 3 3 1
49.01 deg, I = 6, hkl 4 2 0
54.05 deg, I = 40, hkl 4 2 2
57.62 deg, I = 4, hkl 3 3 3
63.29 deg, I = 19, hkl 4 4 0